BaSmCr4O12: theoretical powder diffraction line list (Cu Kα X-rays), based on a DFT-relaxed cell (PBE+U, Alexandria).

Peak list (10 most intense, 10° ≤ 2θ ≤ 90°, by angle)
(hkl)	Position (°2θ)	I/Imax
1 0 1	20.10	100
2 0 0	32.78	34
1 1 2	33.29	66
2 1 1	38.75	37
1 0 3	39.64	17
2 2 0	47.03	30
0 0 4	48.55	13
2 1 3	52.35	16
3 1 2	58.84	25
2 2 4	69.90	15

Crystal structure
Lattice parameters (Å, degrees): 5.4648 5.4648 7.5012 90.00 90.00 90.00
Space group P4/mmm (No. 123)
Symmetry-distinct sites (fractional):
Ba1 0.0000 0.0000 0.0000
Sm1 0.5000 0.5000 0.5000
Cr1 0.0000 0.5000 0.2503
O1 0.0000 0.5000 0.0000
O2 0.0000 0.5000 0.5000
O3 0.2609 0.2609 0.2649